Record 1
Structure and computed X-ray diffraction stick pattern of ErGe3Ru5 (a cell relaxed with GGA-PBE; Cu Ka).
Peak positions follow from Bragg's law for the DFT cell and can differ from measured ones.

Crystal structure
```
data_ErGe3Ru5
_cell_length_a 3.025
_cell_length_b 13.444
_cell_length_c 14.241
_cell_angle_alpha 90.00
_cell_angle_beta 90.00
_cell_angle_gamma 90.00
_symmetry_space_group_name_H-M 'C m c m'
_symmetry_Int_Tables_number 63
_symmetry_space_group_name_Hall '-C 2c 2'
loop_
_atom_site_label
_atom_site_type_symbol
_atom_site_fract_x
_atom_site_fract_y
_atom_site_fract_z
Er1 Er 0.000 0.147 0.250
Ge1 Ge 0.000 0.147 0.750
Ge2 Ge 0.000 0.367 0.558
Ru1 Ru 0.000 0.000 0.000
Ru2 Ru 0.000 0.189 0.581
Ru3 Ru 0.000 0.470 0.155
```

The 8 most intense peaks (2θ = 15–90°), in order of falling intensity:
d (Å), two_theta, I_rel, hkl
2.507, 35.82, 100, 1 3 0
2.239, 40.28, 76, 0 6 0
2.365, 38.05, 65, 1 3 2
2.272, 39.66, 49, 1 1 4
1.939, 46.86, 33, 0 4 6
1.850, 49.24, 33, 1 5 3
1.934, 46.98, 26, 1 5 2
1.253, 75.91, 23, 2 6 0

Record 2
Structure and computed X-ray diffraction stick pattern of MnAgAu5 (a cell relaxed with GGA-PBE; Cu Ka).
Peak positions follow from Bragg's law for the DFT cell and can differ from measured ones.

Crystal structure
```
data_MnAgAu5
_cell_length_a 7.410
_cell_length_b 6.617
_cell_length_c 10.568
_cell_angle_alpha 90.00
_cell_angle_beta 90.00
_cell_angle_gamma 90.00
_symmetry_space_group_name_H-M 'C m c m'
_symmetry_Int_Tables_number 63
_symmetry_space_group_name_Hall '-C 2c 2'
loop_
_atom_site_label
_atom_site_type_symbol
_atom_site_fract_x
_atom_site_fract_y
_atom_site_fract_z
Mn1 Mn 0.000 0.000 0.000
Ag1 Ag 0.000 0.354 0.250
Au1 Au 0.000 0.061 0.750
Au2 Au 0.198 0.352 0.609
```

The 8 most intense peaks (2θ = 15–90°), in order of falling intensity:
d (Å), two_theta, I_rel, hkl
2.412, 37.29, 100, 0 2 3
2.403, 37.42, 93, 2 2 1
2.151, 42.00, 77, 2 0 4
2.314, 38.92, 34, 3 1 0
3.034, 29.44, 31, 2 0 2
1.396, 67.01, 29, 3 3 4
1.934, 46.98, 25, 3 1 3
2.260, 39.88, 24, 3 1 1

Record 3
Structure and computed X-ray diffraction stick pattern of Sm5Er5Tm2 (a cell relaxed with GGA-PBE; Cu Ka).
Peak positions follow from Bragg's law for the DFT cell and can differ from measured ones.

Crystal structure
```
data_Sm5Er5Tm2
_cell_length_a 15.056
_cell_length_b 5.018
_cell_length_c 11.253
_cell_angle_alpha 90.00
_cell_angle_beta 116.54
_cell_angle_gamma 90.00
_symmetry_space_group_name_H-M 'C 1 2/m 1'
_symmetry_Int_Tables_number 12
_symmetry_space_group_name_Hall '-C 2y'
loop_
_atom_site_label
_atom_site_type_symbol
_atom_site_fract_x
_atom_site_fract_y
_atom_site_fract_z
Sm1 Sm 0.000 0.000 0.000
Sm2 Sm 0.084 0.000 0.751
Sm3 Sm 0.166 0.000 0.499
Er1 Er 0.000 0.500 0.500
Er2 Er 0.168 0.500 0.001
Er3 Er 0.249 0.000 0.248
Tm1 Tm 0.083 0.500 0.249
```

The 8 most intense peaks (2θ = 15–90°), in order of falling intensity:
d (Å), two_theta, I_rel, hkl
2.900, 30.83, 100, 3 1 1
2.509, 35.79, 34, 0 2 0
1.514, 61.24, 28, 3 3 1
1.777, 51.42, 24, 6 0 2
2.517, 35.67, 17, 0 0 4
1.517, 61.09, 14, 3 1 5
1.450, 64.23, 12, 6 2 2
1.774, 51.51, 12, 6 2 -2